Entry 1:
This entry pairs a crystal structure of NdSmHg4 with its simulated powder XRD pattern. Radiation: Cu Kα (weighted mean of Kα1 and Kα2). Structure: DFT lattice parameters and positions (PBE).
Neutral-atom scattering factors, no anomalous dispersion.

Most intense lines, 2θ = 15–90°, sorted by position:
Position (°2θ)  d_spacing  I_rel
28.74  3.106  69
32.60  2.747  51
32.76  2.734  100
41.62  2.170  53
44.01  2.058  44
46.54  1.952  38
58.28  1.583  20
64.38  1.447  15

Structure:
```
NdSmHg4
1.0
4.176 0.000 0.000
0.000 5.493 0.000
-1.984 0.000 7.086
Nd Sm Hg
1 1 4
Direct
0.000 0.000 0.000
0.003 0.500 0.498
0.341 0.000 0.660
0.350 0.500 0.163
0.655 0.500 0.834
0.659 0.000 0.340
```

---

Entry 2:
This entry pairs a crystal structure of Nd5SmHg with its simulated powder XRD pattern. Radiation: Cu Kα (weighted mean of Kα1 and Kα2). Structure: DFT lattice parameters and positions (PBE).
Neutral-atom scattering factors, no anomalous dispersion.

Most intense lines, 2θ = 15–90°, sorted by position:
Position (°2θ)  d_spacing  I_rel
23.98  3.712  17
28.52  3.130  26
31.01  2.883  37
31.63  2.828  31
32.05  2.793  83
32.25  2.776  100
57.20  1.610  16
57.65  1.599  19

Structure:
```
Nd5SmHg
1.0
4.394 -4.798 0.000
4.394 4.798 0.000
-4.060 0.000 11.146
Nd Sm Hg
10 2 2
Direct
0.026 0.388 0.856
0.129 0.871 0.750
0.217 0.562 0.460
0.388 0.026 0.356
0.438 0.783 0.040
0.562 0.217 0.960
0.612 0.974 0.644
0.783 0.438 0.540
0.871 0.129 0.250
0.974 0.612 0.144
0.492 0.508 0.750
0.508 0.492 0.250
0.000 0.000 0.000
0.000 0.000 0.500
```

---

Entry 3:
This entry pairs a crystal structure of Nd4Sm2Hg5 with its simulated powder XRD pattern. Radiation: Cu Kα (weighted mean of Kα1 and Kα2). Structure: DFT lattice parameters and positions (PBE).
Neutral-atom scattering factors, no anomalous dispersion.

Most intense lines, 2θ = 15–90°, sorted by position:
Position (°2θ)  d_spacing  I_rel
31.95  2.801  100
32.50  2.755  40
32.70  2.738  43
32.81  2.730  50
33.42  2.681  94
34.22  2.620  40
34.70  2.586  88
34.91  2.570  34

Structure:
```
Nd4Sm2Hg5
1.0
8.536 0.000 0.000
0.000 20.170 0.000
0.000 0.000 3.666
Nd Sm Hg
8 4 10
Direct
0.102 0.130 0.000
0.207 0.447 0.000
0.293 0.947 0.000
0.398 0.630 0.000
0.602 0.370 0.000
0.707 0.053 0.000
0.793 0.553 0.000
0.898 0.870 0.000
0.012 0.705 0.000
0.488 0.205 0.000
0.512 0.795 0.000
0.988 0.295 0.000
0.000 0.000 0.500
0.107 0.575 0.500
0.202 0.807 0.500
0.298 0.307 0.500
0.393 0.075 0.500
0.500 0.500 0.500
0.607 0.925 0.500
0.702 0.693 0.500
0.798 0.193 0.500
0.893 0.425 0.500
```

---

Entry 4:
This entry pairs a crystal structure of Nd5Sm5Hg2 with its simulated powder XRD pattern. Radiation: Cu Kα (weighted mean of Kα1 and Kα2). Structure: DFT lattice parameters and positions (PBE).
Neutral-atom scattering factors, no anomalous dispersion.

Most intense lines, 2θ = 15–90°, sorted by position:
Position (°2θ)  d_spacing  I_rel
27.83  3.206  7
31.29  2.859  100
31.87  2.808  22
32.17  2.782  28
43.74  2.070  7
45.92  1.976  16
55.32  1.661  7
56.81  1.621  19

Structure:
```
Nd5Sm5Hg2
1.0
6.209 -2.782 0.000
6.209 2.782 0.000
-0.027 0.000 11.231
Nd Sm Hg
5 5 2
Direct
0.000 0.000 0.000
0.318 0.318 0.538
0.477 0.477 0.249
0.523 0.523 0.751
0.682 0.682 0.462
0.000 0.000 0.500
0.183 0.183 0.249
0.316 0.316 0.961
0.684 0.684 0.039
0.817 0.817 0.751
0.142 0.142 0.749
0.858 0.858 0.251
```

---

Entry 5:
This entry pairs a crystal structure of Nd2SmHg7 with its simulated powder XRD pattern. Radiation: Cu Kα (weighted mean of Kα1 and Kα2). Structure: DFT lattice parameters and positions (PBE).
Neutral-atom scattering factors, no anomalous dispersion.

Most intense lines, 2θ = 15–90°, sorted by position:
Position (°2θ)  d_spacing  I_rel
30.04  2.975  43
35.61  2.521  100
35.93  2.499  78
47.26  1.923  13
51.49  1.775  28
63.96  1.456  19
64.17  1.451  29
86.46  1.126  14

Structure:
```
Nd2SmHg7
1.0
5.042 0.000 0.000
-2.521 4.367 0.000
0.000 0.000 12.190
Nd Sm Hg
2 1 7
Direct
0.000 0.000 0.000
0.333 0.667 0.631
0.667 0.333 0.365
0.000 0.000 0.261
0.000 0.000 0.499
0.000 0.000 0.739
0.333 0.667 0.197
0.333 0.667 0.907
0.667 0.333 0.094
0.667 0.333 0.805
```

---

Entry 6:
This entry pairs a crystal structure of NdSmSnHg with its simulated powder XRD pattern. Radiation: Cu Kα (weighted mean of Kα1 and Kα2). Structure: DFT lattice parameters and positions (PBE).
Neutral-atom scattering factors, no anomalous dispersion.

Most intense lines, 2θ = 15–90°, sorted by position:
Position (°2θ)  d_spacing  I_rel
32.82  2.729  51
33.13  2.704  100
47.10  1.930  19
48.02  1.895  9
58.79  1.571  39
59.38  1.556  19
69.53  1.352  12
78.35  1.220  9

Structure:
```
NdSmSnHg
1.0
3.859 0.000 0.000
0.000 3.859 0.000
0.000 0.000 7.579
Nd Sm Sn Hg
1 1 1 1
Direct
0.000 0.000 0.000
0.000 0.000 0.508
0.500 0.500 0.258
0.500 0.500 0.747
```

---

Entry 7:
This entry pairs a crystal structure of Nd2Sn3Hg with its simulated powder XRD pattern. Radiation: Cu Kα (weighted mean of Kα1 and Kα2). Structure: DFT lattice parameters and positions (PBE).
Neutral-atom scattering factors, no anomalous dispersion.

Most intense lines, 2θ = 15–90°, sorted by position:
Position (°2θ)  d_spacing  I_rel
30.41  2.939  50
30.57  2.925  100
36.51  2.461  68
36.91  2.435  34
44.80  2.023  20
48.54  1.875  28
59.12  1.563  34
59.39  1.556  17

Structure:
```
Nd2Sn3Hg
1.0
4.046 0.000 0.000
0.000 4.871 0.000
0.000 0.000 8.556
Nd Sn Hg
2 3 1
Direct
0.000 0.000 0.000
0.000 0.500 0.480
0.500 0.000 0.325
0.500 0.000 0.661
0.500 0.500 0.148
0.500 0.500 0.819
```

---

Entry 8:
This entry pairs a crystal structure of Nd5Sn5Hg2 with its simulated powder XRD pattern. Radiation: Cu Kα (weighted mean of Kα1 and Kα2). Structure: DFT lattice parameters and positions (PBE).
Neutral-atom scattering factors, no anomalous dispersion.

Most intense lines, 2θ = 15–90°, sorted by position:
Position (°2θ)  d_spacing  I_rel
27.28  3.269  16
27.81  3.208  14
29.64  3.014  100
33.09  2.707  26
33.98  2.638  15
34.30  2.614  56
39.55  2.279  32
42.88  2.109  15

Structure:
```
Nd5Sn5Hg2
1.0
7.189 -2.279 0.000
7.189 2.279 0.000
-7.040 0.000 10.827
Nd Sn Hg
5 5 2
Direct
0.000 0.000 0.000
0.339 0.339 0.489
0.362 0.362 0.213
0.638 0.638 0.787
0.661 0.661 0.511
0.000 0.000 0.500
0.060 0.060 0.288
0.321 0.321 0.951
0.679 0.679 0.049
0.940 0.940 0.712
0.300 0.300 0.718
0.700 0.700 0.282
```